Record 1
Starting from the GGA-PBE geometry in OQMD, the X-ray powder pattern of Na3DyBr6 was computed for λ = 1.5418 Å (Cu Kα).
No peak broadening, texture or thermal motion is included.

Structure:
a = 7.344 Å, b = 7.344 Å, c = 13.323 Å
α = 90.00°, β = 90.00°, γ = 120.00°
Positions (direct):
Na  0.000  0.000  0.250
Na  0.000  0.000  0.750
Na  0.333  0.667  0.036
Na  0.333  0.667  0.464
Na  0.667  0.333  0.536
Na  0.667  0.333  0.964
Dy  0.333  0.667  0.750
Dy  0.667  0.333  0.250
Br  0.037  0.352  0.875
Br  0.037  0.685  0.625
Br  0.315  0.352  0.625
Br  0.315  0.963  0.875
Br  0.352  0.037  0.375
Br  0.352  0.315  0.125
Br  0.648  0.685  0.875
Br  0.648  0.963  0.625
Br  0.685  0.037  0.125
Br  0.685  0.648  0.375
Br  0.963  0.315  0.375
Br  0.963  0.648  0.125

Peak list (10 most intense, 10 to 80 degrees two-theta, low angle first)
two_theta	I (rel.)
15.4	604
27.7	1000
34.7	175
36.4	520
42.6	363
42.8	142
47.9	227
51.6	138
72.1	124
74.0	135

***

Record 2
Starting from the GGA-PBE geometry in OQMD, the X-ray powder pattern of PrDySbBr2 was computed for λ = 1.5418 Å (Cu Kα).
No peak broadening, texture or thermal motion is included.

Structure:
a = 4.306 Å, b = 4.306 Å, c = 10.985 Å
α = 90.00°, β = 90.00°, γ = 120.00°
Positions (direct):
Pr  0.000  0.000  0.000
Dy  0.667  0.333  0.677
Sb  0.333  0.667  0.829
Br  0.000  0.000  0.524
Br  0.667  0.333  0.164

Peak list (10 most intense, 10 to 80 degrees two-theta, low angle first)
two_theta	I (rel.)
25.2	116
28.9	1000
34.3	148
40.8	386
42.0	356
51.8	196
60.0	123
67.1	154
68.8	166
75.9	123

***

Record 3
Starting from the GGA-PBE geometry in OQMD, the X-ray powder pattern of SmDyS2Br2 was computed for λ = 1.5418 Å (Cu Kα).
No peak broadening, texture or thermal motion is included.

Structure:
a = 4.143 Å, b = 5.398 Å, c = 9.239 Å
α = 90.00°, β = 90.00°, γ = 90.00°
Positions (direct):
Sm  0.000  0.000  0.000
Dy  0.500  0.500  0.740
S  0.000  0.500  0.935
S  0.500  0.000  0.795
Br  0.000  0.500  0.529
Br  0.500  0.000  0.218

Peak list (10 most intense, 10 to 80 degrees two-theta, low angle first)
two_theta	I (rel.)
19.0	1000
28.8	384
28.9	863
33.2	330
39.0	139
40.1	461
43.7	152
44.6	518
48.1	232
56.0	144

***

Record 4
Starting from the GGA-PBE geometry in OQMD, the X-ray powder pattern of Dy4Se3Br4 was computed for λ = 1.5418 Å (Cu Kα).
No peak broadening, texture or thermal motion is included.

Structure:
a = 4.268 Å, b = 9.794 Å, c = 7.604 Å
α = 90.00°, β = 90.00°, γ = 90.00°
Positions (direct):
Dy  0.000  0.000  0.000
Dy  0.000  0.500  0.223
Dy  0.500  0.203  0.480
Dy  0.500  0.797  0.480
Se  0.000  0.215  0.245
Se  0.000  0.785  0.245
Se  0.500  0.500  0.465
Br  0.000  0.000  0.603
Br  0.000  0.500  0.876
Br  0.500  0.189  0.868
Br  0.500  0.811  0.868

Peak list (10 most intense, 10 to 80 degrees two-theta, low angle first)
two_theta	I (rel.)
23.9	1000
27.3	404
27.7	979
31.5	609
36.6	699
41.4	422
42.2	837
42.4	545
42.5	363
45.3	359

***

Record 5
Starting from the GGA-PBE geometry in OQMD, the X-ray powder pattern of DyTmSe2Br2 was computed for λ = 1.5418 Å (Cu Kα).
No peak broadening, texture or thermal motion is included.

Structure:
a = 4.068 Å, b = 5.595 Å, c = 8.524 Å
α = 90.00°, β = 90.00°, γ = 90.00°
Positions (direct):
Dy  0.000  0.000  0.000
Tm  0.500  0.500  0.728
Se  0.000  0.500  0.960
Se  0.500  0.000  0.762
Br  0.000  0.500  0.505
Br  0.500  0.000  0.229

Peak list (10 most intense, 10 to 80 degrees two-theta, low angle first)
two_theta	I (rel.)
10.4	836
19.0	610
24.2	198
29.1	201
30.4	1000
32.0	455
42.0	277
44.6	181
44.7	686
55.9	184

***

Record 6
Starting from the GGA-PBE geometry in OQMD, the X-ray powder pattern of DyYBr6 was computed for λ = 1.5418 Å (Cu Kα).
No peak broadening, texture or thermal motion is included.

Structure:
a = 7.127 Å, b = 7.127 Å, c = 6.955 Å
α = 100.21°, β = 100.21°, γ = 120.20°
Positions (direct):
Dy  0.000  0.000  0.000
Y  0.332  0.668  0.000
Br  0.103  0.417  0.245
Br  0.228  0.250  0.755
Br  0.400  0.068  0.246
Br  0.583  0.897  0.755
Br  0.750  0.772  0.245
Br  0.932  0.600  0.754

Peak list (10 most intense, 10 to 80 degrees two-theta, low angle first)
two_theta	I (rel.)
13.6	471
15.1	283
16.9	203
25.4	284
30.9	513
31.2	1000
44.1	365
44.9	357
45.5	196
54.7	188